Entry 1:
Structure and simulated powder XRD pattern of IrRh (a crystal structure in the Materials Project, relaxed with GGA-PBE; Cu Ka).
Peak positions follow from Bragg's law for the DFT cell and can differ from measured ones.

Crystal structure
abc: 2.7301 2.7301 13.3777
angles: 90.00 90.00 120.00
Space group R-3m (No. 166, hexagonal axes)
Asymmetric unit:
Ir 0.0000 0.0000 0.0000 [3 per cell]
Rh 0.0000 0.0000 0.5000 [3 per cell]

Main lines, by angle (2θ from 5° to 70°):
Position (°2θ)	I (rel.)	hkl
19.9	11.3	0 0 3
38.7	6.8	1 0 1
40.5	100.0	0 1 2
47.1	48.7	1 0 4
51.6	3.1	0 1 5
62.5	2.4	1 0 7
68.8	31.4	1 1 0



Entry 2:
Structure and simulated powder XRD pattern of Sm2IrRh (a crystal structure in the Materials Project, relaxed with GGA-PBE; Cu Ka).
Peak positions follow from Bragg's law for the DFT cell and can differ from measured ones.

Crystal structure
abc: 7.0107 7.0107 7.0107
angles: 90.00 90.00 90.00
Space group Fm-3m (No. 225)
Asymmetric unit:
Sm 0.2500 0.2500 0.2500 [8 per cell]
Ir 0.0000 0.0000 0.0000 [4 per cell]
Rh 0.0000 0.0000 0.5000 [4 per cell]

Main lines, by angle (2θ from 5° to 70°):
Position (°2θ)	I (rel.)	hkl
22.0	4.4	1 1 1
36.2	100.0	2 2 0
42.8	2.5	3 1 1
52.2	17.7	4 0 0
57.3	1.1	3 3 1
65.2	36.1	4 2 2
69.7	0.9	5 1 1



Entry 3:
Structure and simulated powder XRD pattern of Tb2IrRh (a crystal structure in the Materials Project, relaxed with GGA-PBE; Cu Ka).
Peak positions follow from Bragg's law for the DFT cell and can differ from measured ones.

Crystal structure
abc: 6.8922 6.8922 6.8922
angles: 90.00 90.00 90.00
Space group Fm-3m (No. 225)
Asymmetric unit:
Tb 0.2500 0.2500 0.2500 [8 per cell]
Ir 0.0000 0.0000 0.0000 [4 per cell]
Rh 0.0000 0.0000 0.5000 [4 per cell]

Main lines, by angle (2θ from 5° to 70°):
Position (°2θ)	I (rel.)	hkl
22.3	4.2	1 1 1
36.9	100.0	2 2 0
43.6	2.4	3 1 1
53.2	17.6	4 0 0
58.4	1.1	3 3 1
66.5	35.8	4 2 2



Entry 4:
Structure and simulated powder XRD pattern of Ti2IrRh (a crystal structure in the Materials Project, relaxed with GGA-PBE; Cu Ka).
Peak positions follow from Bragg's law for the DFT cell and can differ from measured ones.

Crystal structure
abc: 6.2355 6.2355 6.2355
angles: 90.00 90.00 90.00
Space group Fm-3m (No. 225)
Asymmetric unit:
Ti 0.2500 0.2500 0.2500 [8 per cell]
Ir 0.0000 0.0000 0.0000 [4 per cell]
Rh 0.0000 0.0000 0.5000 [4 per cell]

Main lines, by angle (2θ from 5° to 70°):
Position (°2θ)	I (rel.)	hkl
24.7	10.9	1 1 1
28.6	34.0	2 0 0
40.9	100.0	2 2 0
48.4	6.0	3 1 1
50.7	10.0	2 2 2
59.3	16.4	4 0 0
65.2	2.6	3 3 1
67.1	13.4	4 2 0